This entry pairs a crystal structure of Pm5Tm3Sc with its theoretical PXRD pattern. Radiation: Cu Kα X-rays. Structure: a GGA-PBE-relaxed structure.
No peak broadening, texture or thermal motion is included.

abc: 9.2762 9.2762 13.8187
angles: 90.00 90.00 90.00
Space group I4/mcm (No. 140)
Inequivalent atoms, fractional coordinates:
Pm 0.0000 0.0000 0.0000 [4 per cell]
Pm 0.1965 0.3035 0.1336 [16 per cell]
Tm 0.0000 0.0000 0.2500 [4 per cell]
Tm 0.1104 0.3896 0.5000 [8 per cell]
Sc 0.0000 0.5000 0.2500 [4 per cell]

The 10 most intense peaks (2θ from 10° to 90°), by intensity:
d (Å), I (rel.), (hkl)
2.771, 1000, 2 0 4
3.083, 847, 2 1 3
3.280, 552, 2 2 0
2.933, 481, 3 1 0
2.529, 359, 3 2 1
2.221, 272, 4 1 1
2.301, 269, 0 0 6
1.610, 260, 5 1 4
1.848, 147, 3 3 4
2.022, 139, 4 1 3

This entry pairs a crystal structure of Pm4Tm7Sc with its theoretical PXRD pattern. Radiation: Cu Kα X-rays. Structure: a GGA-PBE-relaxed structure.
No peak broadening, texture or thermal motion is included.

abc: 11.3686 5.2831 12.9673
angles: 90.00 104.29 90.00
Space group C2/m (No. 12)
Inequivalent atoms, fractional coordinates:
Pm 0.0402 0.0000 0.2837 [4 per cell]
Pm 0.1770 0.5000 0.7621 [4 per cell]
Tm 0.0000 0.5000 0.5000 [2 per cell]
Tm 0.0893 0.5000 0.1283 [4 per cell]
Tm 0.1377 0.0000 0.9659 [4 per cell]
Tm 0.2347 0.5000 0.4000 [4 per cell]
Sc 0.0000 0.0000 0.5000 [2 per cell]

The 10 most intense peaks (2θ from 10° to 90°), by intensity:
d (Å), I (rel.), (hkl)
2.991, 1000, 1 1 3
2.963, 980, 3 1 -2
2.642, 438, 0 2 0
2.561, 324, 4 0 1
2.535, 315, 2 0 -5
1.839, 244, 4 2 1
1.829, 239, 2 2 -5
1.541, 185, 7 1 -1
1.580, 153, 3 3 -2
1.584, 148, 1 3 3

This entry pairs a crystal structure of Pm6Tm3Sc2 with its theoretical PXRD pattern. Radiation: Cu Kα X-rays. Structure: a GGA-PBE-relaxed structure.
No peak broadening, texture or thermal motion is included.

abc: 6.0813 6.6624 9.6469
angles: 88.53 87.68 63.52
Space group P-1 (No. 2)
Inequivalent atoms, fractional coordinates:
Pm 0.0919 0.3909 0.3248 [2 per cell]
Pm 0.2149 0.2264 0.9512 [2 per cell]
Pm 0.2342 0.8568 0.2318 [2 per cell]
Tm 0.3458 0.6819 0.8654 [2 per cell]
Tm 0.5000 0.5000 0.5000 [1 per cell]
Sc 0.2939 0.0455 0.6063 [2 per cell]

The 10 most intense peaks (2θ from 10° to 90°), by intensity:
d (Å), I (rel.), (hkl)
2.807, 1000, 1 0 3
2.842, 981, 0 2 -1
2.713, 811, 1 1 -3
2.765, 788, 1 2 2
2.729, 755, -1 1 2
3.038, 573, 2 1 0
2.694, 454, 2 2 0
2.640, 414, 2 0 1
3.551, 387, 1 0 -2
1.541, 281, 0 3 4

This entry pairs a crystal structure of PmTm3Sc7 with its theoretical PXRD pattern. Radiation: Cu Kα X-rays. Structure: a GGA-PBE-relaxed structure.
No peak broadening, texture or thermal motion is included.

abc: 5.4205 10.4586 10.7159
angles: 90.00 90.00 90.00
Space group Immm (No. 71)
Inequivalent atoms, fractional coordinates:
Pm 0.0000 0.0000 0.0000 [2 per cell]
Tm 0.0000 0.2076 0.5000 [4 per cell]
Tm 0.0000 0.5000 0.0000 [2 per cell]
Sc 0.0000 0.0000 0.2926 [4 per cell]
Sc 0.0000 0.3094 0.2164 [8 per cell]
Sc 0.0000 0.5000 0.5000 [2 per cell]

The 10 most intense peaks (2θ from 10° to 90°), by intensity:
d (Å), I (rel.), (hkl)
3.551, 1000, 1 2 1
2.591, 842, 1 2 3
5.358, 509, 0 0 2
2.572, 471, 1 3 2
2.710, 452, 2 0 0
2.679, 345, 0 0 4
1.540, 282, 3 2 3
1.905, 251, 2 0 4
2.615, 172, 0 4 0
1.418, 154, 1 2 7

This entry pairs a crystal structure of Pm2Tm2Sc5 with its theoretical PXRD pattern. Radiation: Cu Kα X-rays. Structure: a GGA-PBE-relaxed structure.
No peak broadening, texture or thermal motion is included.

abc: 11.5510 8.3183 10.6067
angles: 90.00 90.00 90.00
Space group Ima2 (No. 46)
Inequivalent atoms, fractional coordinates:
Pm 0.1033 0.1219 0.0000 [8 per cell]
Tm 0.0000 0.0000 0.5620 [4 per cell]
Tm 0.2500 0.1096 0.6933 [4 per cell]
Sc 0.0994 0.6951 0.2938 [8 per cell]
Sc 0.1258 0.0620 0.3038 [8 per cell]
Sc 0.2500 0.7352 0.0365 [4 per cell]

The 10 most intense peaks (2θ from 10° to 90°), by intensity:
d (Å), I (rel.), (hkl)
2.642, 1000, 4 1 1
2.918, 899, 3 1 2
2.730, 840, 3 2 1
2.623, 792, 1 2 3
6.750, 605, 1 1 0
3.254, 490, 0 1 3
3.906, 490, 2 0 2
2.696, 464, 1 3 0
6.545, 420, 0 1 1
2.847, 378, 2 2 2

This entry pairs a crystal structure of Pm12Tm2Sc5 with its theoretical PXRD pattern. Radiation: Cu Kα X-rays. Structure: a GGA-PBE-relaxed structure.
No peak broadening, texture or thermal motion is included.

abc: 15.4222 9.2106 8.4934
angles: 90.00 90.65 90.00
Space group C2/m (No. 12)
Inequivalent atoms, fractional coordinates:
Pm 0.0679 0.0000 0.3367 [4 per cell]
Pm 0.0909 0.5000 0.8789 [4 per cell]
Pm 0.1258 0.1953 0.6656 [8 per cell]
Pm 0.1568 0.3175 0.2326 [8 per cell]
Tm 0.0000 0.1711 0.0000 [4 per cell]
Sc 0.0000 0.5000 0.5000 [2 per cell]
Sc 0.1961 0.0000 0.0205 [4 per cell]
Sc 0.2281 0.5000 0.5679 [4 per cell]

The 10 most intense peaks (2θ from 10° to 90°), by intensity:
d (Å), I (rel.), (hkl)
2.837, 1000, 4 0 2
2.902, 523, 2 2 -2
2.774, 430, 5 1 -1
2.513, 383, 3 3 1
2.670, 356, 1 1 -3
2.784, 225, 4 2 1
1.536, 216, 0 6 0
1.649, 204, 3 3 4
2.436, 170, 4 2 -2
1.556, 169, 5 5 -1

This entry pairs a crystal structure of Pm6Tm3Sc2 with its theoretical PXRD pattern. Radiation: Cu Kα X-rays. Structure: a GGA-PBE-relaxed structure.
No peak broadening, texture or thermal motion is included.

abc: 4.7313 4.7313 32.3259
angles: 90.00 90.00 90.00
Space group I4/mmm (No. 139)
Inequivalent atoms, fractional coordinates:
Pm 0.0000 0.0000 0.1999 [4 per cell]
Pm 0.0000 0.5000 0.1153 [8 per cell]
Tm 0.0000 0.0000 0.3056 [4 per cell]
Tm 0.0000 0.0000 0.5000 [2 per cell]
Sc 0.0000 0.0000 0.0429 [4 per cell]

The 10 most intense peaks (2θ from 10° to 90°), by intensity:
d (Å), I (rel.), (hkl)
3.091, 1000, 1 1 4
2.577, 644, 1 1 8
2.366, 603, 2 0 0
2.842, 370, 1 1 6
3.233, 345, 0 0 10
1.909, 315, 2 0 10
1.471, 228, 3 1 4
1.673, 208, 2 2 0
1.403, 193, 3 1 8
1.486, 141, 2 2 10

This entry pairs a crystal structure of PmTm5Sc4 with its theoretical PXRD pattern. Radiation: Cu Kα X-rays. Structure: a GGA-PBE-relaxed structure.
No peak broadening, texture or thermal motion is included.

abc: 9.7649 9.7649 6.1185
angles: 90.00 90.00 90.00
Space group I4 (No. 79)
Inequivalent atoms, fractional coordinates:
Pm 0.0000 0.0000 0.0000 [2 per cell]
Tm 0.0000 0.0000 0.5444 [2 per cell]
Tm 0.1458 0.2441 0.2749 [8 per cell]
Sc 0.0566 0.3583 0.7718 [8 per cell]

The 10 most intense peaks (2θ from 10° to 90°), by intensity:
d (Å), I (rel.), (hkl)
3.088, 1000, 1 3 0
2.592, 940, 2 0 2
2.477, 871, 2 3 1
3.554, 822, 2 1 1
2.874, 726, 3 0 1
2.173, 691, 3 1 2
6.905, 513, 1 1 0
3.452, 464, 2 2 0
2.797, 395, 1 1 2
1.629, 362, 2 3 3

This entry pairs a crystal structure of PmY5Tm2Sc with its theoretical PXRD pattern. Radiation: Cu Kα X-rays. Structure: a GGA-PBE-relaxed structure.
No peak broadening, texture or thermal motion is included.

abc: 5.5452 19.9019 10.3651
angles: 90.00 90.00 90.00
Space group Cmc2_1 (No. 36)
Inequivalent atoms, fractional coordinates:
Pm 0.0000 0.0892 0.0000 [4 per cell]
Y 0.0000 0.0197 0.2899 [4 per cell]
Y 0.0000 0.1266 0.5741 [4 per cell]
Y 0.0000 0.2009 0.2558 [4 per cell]
Y 0.0000 0.2268 0.8816 [4 per cell]
Y 0.0000 0.4830 0.5701 [4 per cell]
Tm 0.0000 0.3855 0.2888 [4 per cell]
Tm 0.0000 0.3895 0.8649 [4 per cell]
Sc 0.0000 0.3077 0.5691 [4 per cell]

The 10 most intense peaks (2θ from 10° to 90°), by intensity:
d (Å), I (rel.), (hkl)
2.743, 1000, 1 5 2
2.773, 465, 2 0 0
2.901, 389, 1 1 3
3.288, 237, 1 3 2
1.595, 196, 3 5 2
3.159, 136, 0 6 1
1.485, 132, 2 6 5
1.758, 116, 0 6 5
2.458, 112, 1 7 1
4.975, 102, 0 4 0

This entry pairs a crystal structure of Pm2YTm4Sc with its theoretical PXRD pattern. Radiation: Cu Kα X-rays. Structure: a GGA-PBE-relaxed structure.
No peak broadening, texture or thermal motion is included.

abc: 4.9813 4.9813 9.8741
angles: 90.00 90.00 90.00
Space group P4/mmm (No. 123)
Inequivalent atoms, fractional coordinates:
Pm 0.0000 0.0000 0.0000 [1 per cell]
Pm 0.5000 0.5000 0.5000 [1 per cell]
Y 0.0000 0.0000 0.5000 [1 per cell]
Tm 0.0000 0.5000 0.2444 [4 per cell]
Sc 0.5000 0.5000 0.0000 [1 per cell]

The 10 most intense peaks (2θ from 10° to 90°), by intensity:
d (Å), I (rel.), (hkl)
2.867, 1000, 1 1 2
2.491, 340, 2 0 0
1.501, 282, 3 1 2
1.753, 234, 2 0 4
2.469, 164, 0 0 4
1.491, 135, 1 1 6
1.761, 120, 2 2 0
1.434, 120, 2 2 4
1.138, 114, 3 1 6
4.447, 60, 1 0 1

This entry pairs a crystal structure of PmYTmSc with its theoretical PXRD pattern. Radiation: Cu Kα X-rays. Structure: a GGA-PBE-relaxed structure.
No peak broadening, texture or thermal motion is included.

abc: 7.8613 7.8613 7.8613
angles: 90.00 90.00 90.00
Space group F-43m (No. 216)
Inequivalent atoms, fractional coordinates:
Pm 0.0000 0.0000 0.0000 [4 per cell]
Y 0.0000 0.0000 0.5000 [4 per cell]
Tm 0.2500 0.2500 0.7500 [4 per cell]
Sc 0.2500 0.2500 0.2500 [4 per cell]

The 10 most intense peaks (2θ from 10° to 90°), by intensity:
d (Å), I (rel.), (hkl)
2.779, 1000, 2 2 0
1.605, 377, 4 2 2
4.539, 197, 1 1 1
1.965, 182, 4 0 0
1.243, 159, 6 2 0
2.370, 117, 3 1 1
1.390, 116, 4 4 0
1.803, 53, 3 3 1
1.513, 41, 5 1 1
1.135, 41, 4 4 4

This entry pairs a crystal structure of Pm5YTm2Sc with its theoretical PXRD pattern. Radiation: Cu Kα X-rays. Structure: a GGA-PBE-relaxed structure.
No peak broadening, texture or thermal motion is included.

abc: 5.3350 21.7786 10.1834
angles: 90.00 90.00 90.00
Space group Cmc2_1 (No. 36)
Inequivalent atoms, fractional coordinates:
Pm 0.0000 0.9999 0.0000 [4 per cell]
Pm 0.0000 0.1259 0.2502 [4 per cell]
Pm 0.0000 0.2213 0.5626 [4 per cell]
Pm 0.0000 0.2208 0.9389 [4 per cell]
Pm 0.0000 0.4984 0.7501 [4 per cell]
Y 0.0000 0.1012 0.7502 [4 per cell]
Tm 0.0000 0.3838 0.0020 [4 per cell]
Tm 0.0000 0.3843 0.4982 [4 per cell]
Sc 0.0000 0.2850 0.2507 [4 per cell]

The 10 most intense peaks (2θ from 10° to 90°), by intensity:
d (Å), I (rel.), (hkl)
2.813, 1000, 1 5 2
2.667, 386, 2 0 0
3.285, 367, 1 3 2
1.525, 233, 1 13 2
1.567, 171, 3 5 2
2.546, 164, 0 0 4
2.722, 151, 0 8 0
1.842, 141, 2 0 4
2.839, 130, 1 1 3
1.905, 112, 2 8 0